The following is a simulated powder X-ray diffraction pattern of Dy5Bi3. It was derived from a structure optimized by DFT (PBE), using Cu Kα (λ = 1.5418 Å).
Neutral-atom scattering factors, no anomalous dispersion.

Cell and atoms:
a = 12.0399 Å, b = 9.5210 Å, c = 8.2833 Å
α = 90.00°, β = 90.00°, γ = 90.00°
Sites, in units of the cell vectors:
Dy1 0.0046 0.2500 0.0206
Dy2 0.0640 0.0618 0.6889
Dy3 0.0640 0.4382 0.6889
Dy4 0.2104 0.7500 0.3392
Dy5 0.2270 0.2500 0.3281
Dy6 0.2730 0.7500 0.8281
Dy7 0.2896 0.2500 0.8392
Dy8 0.4360 0.5618 0.1889
Dy9 0.4360 0.9382 0.1889
Dy10 0.4954 0.7500 0.5206
Dy11 0.5046 0.2500 0.4794
Dy12 0.5640 0.0618 0.8111
Dy13 0.5640 0.4382 0.8111
Dy14 0.7104 0.7500 0.1608
Dy15 0.7270 0.2500 0.1719
Dy16 0.7730 0.7500 0.6719
Dy17 0.7896 0.2500 0.6608
Dy18 0.9360 0.5618 0.3111
Dy19 0.9360 0.9382 0.3111
Dy20 0.9954 0.7500 0.9794
Bi1 0.0289 0.7500 0.6008
Bi2 0.1750 0.5076 0.0628
Bi3 0.1750 0.9924 0.0628
Bi4 0.3250 0.0076 0.5628
Bi5 0.3250 0.4924 0.5628
Bi6 0.4711 0.2500 0.1008
Bi7 0.5289 0.7500 0.8992
Bi8 0.6750 0.5076 0.4372
Bi9 0.6750 0.9924 0.4372
Bi10 0.8250 0.0076 0.9372
Bi11 0.8250 0.4924 0.9372
Bi12 0.9711 0.2500 0.3992

Peak list (8 most intense, 10° ≤ 2θ ≤ 80°, low angle first)
2θ 29.5, d = 3.024 Å, I = 88, hkl 1 2 2; 2θ 31.1, d = 2.879 Å, I = 100, hkl 3 2 1; 2θ 31.6, d = 2.829 Å, I = 61, hkl 4 0 1; 2θ 32.3, d = 2.773 Å, I = 93, hkl 2 2 2; 2θ 33.3, d = 2.691 Å, I = 39, hkl 1 0 3; 2θ 35.3, d = 2.544 Å, I = 40, hkl 4 2 0; 2θ 37.8, d = 2.381 Å, I = 51, hkl 0 4 0; 2θ 59.6, d = 1.550 Å, I = 30, hkl 1 4 4